Computed X-ray diffraction stick pattern of MoC3S2Cl7O for CuKα, from the GGA+U geometry in Alexandria.
Neutral-atom scattering factors, no anomalous dispersion.

Main lines, in order of rising 2θ (2θ = 5–70°):
| 2θ (°) | I_rel | hkl |
| --- | --- | --- |
| 15.13 | 100 | 1 1 -1 |
| 16.90 | 40 | 0 2 0 |
| 19.35 | 89 | 1 1 1 |
| 19.86 | 52 | 0 0 2 |
| 20.46 | 28 | 1 2 0 |
| 25.97 | 92 | 1 0 2 |

```
data_MoC3S2Cl7O
_chemical_formula_sum 'Mo2 C6 S4 Cl14 O2'
_cell_length_a 8.150
_cell_length_b 10.492
_cell_length_c 9.428
_cell_angle_alpha 90.00
_cell_angle_beta 108.50
_cell_angle_gamma 90.00
_space_group_name_H-M_alt 'P 1 c 1'
_space_group_IT_number 7
loop_
_space_group_symop_operation_xyz
'x,y,z'
'x,-y,z+1/2'
loop_
_atom_site_label
_atom_site_fract_x
_atom_site_fract_y
_atom_site_fract_z
Mo1 0.000 0.232 0.000
C1 0.428 0.223 0.488
C2 0.501 0.330 0.442
C3 0.640 0.301 0.390
S1 0.512 0.077 0.470
S2 0.697 0.145 0.386
Cl1 0.026 0.055 0.163
Cl2 0.266 0.229 0.562
Cl3 0.300 0.206 0.034
Cl4 0.429 0.480 0.449
Cl5 0.706 0.162 0.885
Cl6 0.755 0.411 0.331
Cl7 0.977 0.319 0.761
O1 0.987 0.360 0.105
```